(1)
# Sr2GaGe
Simulated powder diffractogram, CuKα. Input: a DFT-relaxed cell (PBE, Alexandria).

Cell and atoms:
```
Sr2GaGe
1.0
6.3795 0.0000 0.0000
0.0000 4.3170 0.0000
-2.8235 0.0000 8.8285
Sr Ga Ge
4 2 2
Direct
0.2062 0.2500 0.4278
0.2874 0.7500 0.0677
0.7126 0.2500 0.9323
0.7938 0.7500 0.5722
0.3524 0.7500 0.7171
0.6476 0.2500 0.2829
0.1527 0.2500 0.7827
0.8473 0.7500 0.2173
```

The 10 most intense peaks (2θ = 10–80°), low angle first:
d [Å]  2theta  I/Imax
3.087  28.9  100.0
3.037  29.4  50.4
2.959  30.2  18.6
2.484  36.2  74.0
2.441  36.8  30.5
2.379  37.8  33.4
2.159  41.9  25.0
1.759  52.0  20.1
1.704  53.8  20.0
1.599  57.7  19.1

(2)
# Ta4GaGe
Simulated powder diffractogram, CuKα. Input: a DFT-relaxed cell (PBE, Alexandria).

Cell and atoms:
```
Ta4GaGe
1.0
6.2650 0.0000 0.0000
0.0000 6.2650 0.0000
0.0000 0.0000 5.2146
Ta Ga Ge
8 2 2
Direct
0.1574 0.3417 0.0000
0.1574 0.6583 0.5000
0.3417 0.1574 0.5000
0.3417 0.8426 0.0000
0.6583 0.1574 0.0000
0.6583 0.8426 0.5000
0.8426 0.3417 0.5000
0.8426 0.6583 0.0000
0.5000 0.5000 0.2500
0.5000 0.5000 0.7500
0.0000 0.0000 0.2500
0.0000 0.0000 0.7500
```

The 10 most intense peaks (2θ = 10–80°), low angle first:
d [Å]  2theta  I/Imax
2.607  34.4  15.5
2.468  36.4  100.0
2.247  40.1  16.8
2.004  45.2  17.2
1.981  45.8  25.0
1.577  58.5  4.9
1.477  62.9  25.9
1.459  63.8  12.7
1.343  70.1  9.9
1.285  73.7  15.3

(3)
# Tb2GaGe2
Simulated powder diffractogram, CuKα. Input: a DFT-relaxed cell (PBE, Alexandria).

Cell and atoms:
```
Tb2GaGe2
1.0
-2.0377 3.1314 4.3093
2.0377 -3.1314 4.3093
2.0377 3.1314 -4.3093
Tb Ga Ge
2 1 2
Direct
0.2189 0.2189 0.0000
0.7811 0.7811 0.0000
0.5000 0.0000 0.5000
0.2083 0.5000 0.7083
0.7917 0.5000 0.2917
```

The 10 most intense peaks (2θ = 10–80°), low angle first:
d [Å]  2theta  I/Imax
3.416  26.1  23.7
3.131  28.5  15.4
2.677  33.5  100.0
2.533  35.4  31.9
2.386  37.7  31.3
2.155  41.9  16.5
2.038  44.5  20.2
1.707  53.7  16.1
1.588  58.1  17.5
1.416  66.0  18.4

(4)
# TbGa2Ge
Simulated powder diffractogram, CuKα. Input: a DFT-relaxed cell (PBE, Alexandria).

Cell and atoms:
```
TbGa2Ge
1.0
1.9998 -5.3553 0.0000
1.9998 5.3553 0.0000
0.0000 0.0000 7.6331
Tb Ga Ge
2 4 2
Direct
0.0681 0.9319 0.7500
0.9319 0.0681 0.2500
0.3803 0.6197 0.5614
0.3803 0.6197 0.9386
0.6197 0.3803 0.0614
0.6197 0.3803 0.4386
0.2226 0.7774 0.2500
0.7774 0.2226 0.7500
```

The 10 most intense peaks (2θ = 10–80°), low angle first:
d [Å]  2theta  I/Imax
3.817  23.3  17.8
2.674  33.5  100.0
2.527  35.5  28.7
2.515  35.7  98.8
2.298  39.2  29.4
2.000  45.3  26.9
1.844  49.4  14.3
1.568  58.9  13.3
1.509  61.5  15.4
1.324  71.2  20.2

(5)
# Ga2TcGe2
Simulated powder diffractogram, CuKα. Input: a DFT-relaxed cell (PBE, Alexandria).

Cell and atoms:
```
Ga2TcGe2
1.0
3.1847 -5.9276 0.0000
3.1847 5.9276 0.0000
-2.2988 0.0000 4.9038
Ga Tc Ge
4 2 4
Direct
0.0497 0.5792 0.7648
0.4208 0.9503 0.2352
0.5792 0.0497 0.7648
0.9503 0.4208 0.2352
0.1208 0.8792 0.5000
0.8792 0.1208 0.5000
0.2783 0.2783 0.9012
0.2806 0.2806 0.3714
0.7194 0.7194 0.6286
0.7217 0.7217 0.0988
```

The 10 most intense peaks (2θ = 10–80°), low angle first:
d [Å]  2theta  I/Imax
3.260  27.4  38.6
2.964  30.2  44.1
2.452  36.7  59.8
2.266  39.8  40.6
2.234  40.4  47.1
2.153  42.0  31.1
2.067  43.8  100.0
1.947  46.6  67.0
1.889  48.2  32.0
1.784  51.2  43.9

(6)
# Ga2Tc3Ge3
Simulated powder diffractogram, CuKα. Input: a DFT-relaxed cell (PBE, Alexandria).

Cell and atoms:
```
Ga2Tc3Ge3
1.0
4.7028 0.0000 0.0000
0.0000 4.6110 0.0000
-0.1190 0.0000 11.1238
Ga Tc Ge
4 6 6
Direct
0.1551 0.2500 0.1378
0.1564 0.2500 0.3632
0.8436 0.7500 0.6368
0.8449 0.7500 0.8622
0.1257 0.2500 0.8994
0.1379 0.2500 0.6007
0.3389 0.7500 0.7486
0.6611 0.2500 0.2514
0.8621 0.7500 0.3993
0.8743 0.7500 0.1006
0.3465 0.7500 0.5143
0.3499 0.7500 0.9813
0.4076 0.7500 0.2451
0.5924 0.2500 0.7549
0.6501 0.2500 0.0187
0.6535 0.2500 0.4857
```

The 10 most intense peaks (2θ = 10–80°), low angle first:
d [Å]  2theta  I/Imax
2.405  37.4  29.3
2.383  37.8  25.2
2.305  39.1  75.0
2.132  42.4  54.2
2.117  42.7  62.3
2.095  43.2  100.0
1.664  55.2  18.5
1.657  55.5  16.0
1.292  73.3  12.0
1.287  73.6  19.7

(7)
# Ga2TcGe
Simulated powder diffractogram, CuKα. Input: a DFT-relaxed cell (PBE, Alexandria).

Cell and atoms:
```
Ga2TcGe
1.0
3.5137 0.0000 0.0000
0.0000 3.4949 0.0000
-0.0140 0.0000 10.4176
Ga Tc Ge
4 2 2
Direct
0.2500 0.2500 0.9996
0.2500 0.7500 0.4448
0.7500 0.2500 0.5552
0.7500 0.7500 0.0004
0.2511 0.7500 0.1936
0.7489 0.2500 0.8064
0.2484 0.7500 0.7180
0.7516 0.2500 0.2820
```

The 10 most intense peaks (2θ = 10–80°), low angle first:
d [Å]  2theta  I/Imax
2.477  36.3  86.4
2.411  37.3  71.1
2.238  40.3  100.0
2.092  43.2  79.2
2.088  43.3  77.7
2.017  44.9  66.6
1.757  52.1  46.0
1.747  52.4  45.2
1.344  70.0  38.4
1.341  70.2  38.5

(8)
# ThGaTcGe2
Simulated powder diffractogram, CuKα. Input: a DFT-relaxed cell (PBE, Alexandria).

Cell and atoms:
```
ThGaTcGe2
1.0
5.8875 0.0000 0.0000
0.0000 5.6910 0.0000
0.0000 0.0000 5.8193
Th Ga Tc Ge
2 2 2 4
Direct
0.2500 0.0000 0.2183
0.7500 0.0000 0.7817
0.2500 0.5000 0.3664
0.7500 0.5000 0.6336
0.0000 0.5000 0.0000
0.5000 0.5000 0.0000
0.2500 0.2374 0.7302
0.2500 0.7626 0.7302
0.7500 0.2374 0.2698
0.7500 0.7626 0.2698
```

The 10 most intense peaks (2θ = 10–80°), low angle first:
d [Å]  2theta  I/Imax
4.139  21.5  18.0
3.347  26.6  33.2
2.944  30.4  31.6
2.910  30.7  17.0
2.614  34.3  27.2
2.591  34.6  35.8
2.385  37.7  21.9
2.345  38.4  100.0
2.069  43.7  41.3
1.557  59.4  29.1

(9)
# Tl2GaGeTe4
Simulated powder diffractogram, CuKα. Input: a DFT-relaxed cell (PBE, Alexandria).

Cell and atoms:
```
Tl2GaGeTe4
1.0
-4.2945 4.2945 3.4831
4.2945 -4.2945 3.4831
4.2945 4.2945 -3.4831
Tl Ga Ge Te
2 1 1 4
Direct
0.0000 0.5000 0.5000
0.5000 0.0000 0.5000
0.0000 0.0000 0.0000
0.5000 0.5000 0.0000
0.0706 0.4169 0.0000
0.4169 0.0706 0.0000
0.5831 0.5831 0.6536
0.9294 0.9294 0.3464
```

The 10 most intense peaks (2θ = 10–80°), low angle first:
d [Å]  2theta  I/Imax
3.364  26.5  68.0
3.037  29.4  49.7
3.021  29.6  24.8
2.716  33.0  33.5
2.705  33.1  100.0
1.996  45.4  20.2
1.921  47.3  22.6
1.828  49.9  24.1
1.750  52.3  21.9
1.265  75.1  18.4

(10)
# Ti6Ga2Ge
Simulated powder diffractogram, CuKα. Input: a DFT-relaxed cell (PBE, Alexandria).

Cell and atoms:
```
Ti6Ga2Ge
1.0
-3.9368 4.0886 4.7019
3.9368 -4.0886 4.7019
3.9368 4.0886 -4.7019
Ti Ga Ge
12 4 2
Direct
0.0466 0.8259 0.2207
0.2503 0.5612 0.3110
0.2503 0.9393 0.6890
0.2944 0.2943 0.5887
0.2944 0.7057 0.0002
0.3947 0.1741 0.2207
0.6053 0.8259 0.7793
0.7056 0.2943 0.9998
0.7056 0.7057 0.4113
0.7497 0.0607 0.3110
0.7497 0.4388 0.6890
0.9534 0.1741 0.7793
0.0000 0.1588 0.1588
0.0000 0.8412 0.8412
0.3681 0.3681 0.0000
0.6319 0.6319 0.0000
0.0000 0.5000 0.5000
0.5000 0.0000 0.5000
```

The 10 most intense peaks (2θ = 10–80°), low angle first:
d [Å]  2theta  I/Imax
4.089  21.7  38.6
2.428  37.0  93.3
2.372  37.9  73.4
2.207  40.9  100.0
2.180  41.4  34.7
2.172  41.6  26.4
2.150  42.0  62.5
2.057  44.0  34.7
2.044  44.3  49.3
1.331  70.8  44.1

(11)
# Tm3Ga2Ge3
Simulated powder diffractogram, CuKα. Input: a DFT-relaxed cell (PBE, Alexandria).

Cell and atoms:
```
Tm3Ga2Ge3
1.0
-3.8841 3.8841 5.4422
3.8841 -3.8841 5.4422
3.8841 3.8841 -5.4422
Tm Ga Ge
6 4 6
Direct
0.0000 0.0000 0.0000
0.1010 0.6010 0.1769
0.4241 0.9241 0.8231
0.5000 0.5000 0.0000
0.6010 0.4241 0.5000
0.9241 0.1010 0.5000
0.2164 0.4375 0.5000
0.4375 0.9375 0.2210
0.7164 0.2164 0.7790
0.9375 0.7164 0.5000
0.0964 0.5964 0.7955
0.2487 0.2487 0.0000
0.3010 0.0964 0.5000
0.5964 0.8010 0.5000
0.7487 0.7487 0.0000
0.8010 0.3010 0.2045
```

The 10 most intense peaks (2θ = 10–80°), low angle first:
d [Å]  2theta  I/Imax
3.310  26.9  26.3
3.161  28.2  15.6
2.746  32.6  15.6
2.721  32.9  22.4
2.509  35.8  100.0
2.456  36.6  74.3
1.823  50.0  29.5
1.737  52.7  16.8
1.672  54.9  14.1
1.340  70.2  18.6

(12)
# V9GaGe2
Simulated powder diffractogram, CuKα. Input: a DFT-relaxed cell (PBE, Alexandria).

Cell and atoms:
```
V9GaGe2
1.0
4.7689 0.0000 0.0000
0.0000 4.7758 0.0000
0.0000 0.0000 14.2739
V Ga Ge
18 2 4
Direct
0.0000 0.0000 0.0830
0.0000 0.0000 0.2504
0.0000 0.0000 0.4155
0.0000 0.0000 0.5845
0.0000 0.0000 0.7496
0.0000 0.0000 0.9170
0.2490 0.5000 0.1667
0.2490 0.5000 0.8333
0.2515 0.5000 0.5000
0.5000 0.2518 0.3344
0.5000 0.2518 0.6656
0.5000 0.2529 0.0000
0.5000 0.7471 0.0000
0.5000 0.7482 0.3344
0.5000 0.7482 0.6656
0.7485 0.5000 0.5000
0.7510 0.5000 0.1667
0.7510 0.5000 0.8333
0.5000 0.0000 0.1671
0.5000 0.0000 0.8329
0.0000 0.5000 0.0000
0.0000 0.5000 0.3336
0.0000 0.5000 0.6664
0.5000 0.0000 0.5000
```

The 10 most intense peaks (2θ = 10–80°), low angle first:
d [Å]  2theta  I/Imax
3.371  26.4  8.6
2.386  37.7  31.5
2.379  37.8  15.6
2.134  42.4  56.3
2.129  42.5  28.2
1.946  46.7  100.0
1.323  71.3  7.8
1.321  71.4  7.6
1.275  74.4  23.1
1.273  74.5  23.0